No. 1
# HoMn6Ga6
Calculated powder XRD pattern, Cu Kα X-rays. Input: DFT lattice parameters and positions (GGA-PBE).
Peak positions follow from Bragg's law for the DFT cell and can differ from measured ones.

Largest 8 diffraction maxima, by angle, 5° ≤ 2θ ≤ 70°:
2θ/deg  I_rel
28.9  32
29.2  45
35.5  36
40.5  100
40.7  63
41.3  54
42.6  87
47.3  24

Atomic structure:
abc: 8.920 6.808 6.698
angles: 82.66 49.20 48.14
Sites, in units of the cell vectors:
Ho1 0.000 0.000 0.000
Mn1 0.000 0.000 0.500
Mn2 0.003 0.647 0.353
Mn3 0.353 0.997 0.003
Mn4 0.500 0.500 0.000
Mn5 0.647 0.003 0.997
Mn6 0.997 0.353 0.647
Ga1 0.000 0.500 0.000
Ga2 0.257 0.510 0.490
Ga3 0.490 0.743 0.257
Ga4 0.500 0.000 0.500
Ga5 0.510 0.257 0.743
Ga6 0.743 0.490 0.510

=====

No. 2
# K3Pa2HgTe6
Calculated powder XRD pattern, Cu Kα X-rays. Input: DFT lattice parameters and positions (GGA-PBE).
Peak positions follow from Bragg's law for the DFT cell and can differ from measured ones.

Largest 8 diffraction maxima, by angle, 5° ≤ 2θ ≤ 70°:
2θ/deg  I_rel
11.6  73
26.2  28
26.6  100
34.8  23
36.0  20
36.2  16
39.2  20
39.6  19

Atomic structure:
abc: 10.549 10.549 10.004
angles: 96.89 96.89 24.89
Sites, in units of the cell vectors:
K1 0.000 0.000 0.000
K2 0.369 0.369 0.623
K3 0.631 0.631 0.377
Pa1 0.324 0.324 0.157
Pa2 0.676 0.676 0.843
Hg1 0.000 0.000 0.500
Te1 0.173 0.173 0.061
Te2 0.195 0.195 0.648
Te3 0.462 0.462 0.234
Te4 0.538 0.538 0.766
Te5 0.805 0.805 0.352
Te6 0.827 0.827 0.939

=====

No. 3
# FeMo2OsN
Calculated powder XRD pattern, Cu Kα X-rays. Input: DFT lattice parameters and positions (GGA-PBE).
Peak positions follow from Bragg's law for the DFT cell and can differ from measured ones.

Largest 8 diffraction maxima, by angle, 5° ≤ 2θ ≤ 70°:
2θ/deg  I_rel
21.7  15
32.3  18
39.3  100
44.3  40
48.3  15
55.9  8
64.4  13
67.6  22

Atomic structure:
abc: 4.090 4.090 3.768
angles: 90.00 90.00 90.00
Sites, in units of the cell vectors:
Fe1 0.000 0.000 0.000
Mo1 0.000 0.500 0.500
Mo2 0.500 0.000 0.500
Os1 0.500 0.500 0.000
N1 0.000 0.000 0.500

=====

No. 4
# K5Li3As3
Calculated powder XRD pattern, Cu Kα X-rays. Input: DFT lattice parameters and positions (GGA-PBE).
Peak positions follow from Bragg's law for the DFT cell and can differ from measured ones.

Largest 8 diffraction maxima, by angle, 5° ≤ 2θ ≤ 70°:
2θ/deg  I_rel
17.3  37
18.2  100
25.2  19
26.5  31
30.2  64
32.3  32
35.4  71
48.3  38

Atomic structure:
abc: 10.265 10.265 4.888
angles: 90.00 90.00 120.00
Sites, in units of the cell vectors:
K1 0.000 0.730 0.000
K2 0.270 0.270 0.000
K3 0.333 0.667 0.000
K4 0.667 0.333 0.000
K5 0.730 0.000 0.000
Li1 0.000 0.366 0.500
Li2 0.366 0.000 0.500
Li3 0.634 0.634 0.500
As1 0.000 0.366 0.000
As2 0.366 0.000 0.000
As3 0.634 0.634 0.000

=====

No. 5
# CaYCdIr
Calculated powder XRD pattern, Cu Kα X-rays. Input: DFT lattice parameters and positions (GGA-PBE).
Peak positions follow from Bragg's law for the DFT cell and can differ from measured ones.

Largest 8 diffraction maxima, by angle, 5° ≤ 2θ ≤ 70°:
2θ/deg  I_rel
21.6  9
24.9  18
35.6  100
42.0  5
43.9  6
51.2  17
57.7  8
63.8  35

Atomic structure:
abc: 5.050 5.050 5.050
angles: 60.00 60.00 60.00
Sites, in units of the cell vectors:
Ca1 0.000 0.000 0.000
Y1 0.500 0.500 0.500
Cd1 0.750 0.750 0.750
Ir1 0.250 0.250 0.250

=====

No. 6
# Ac4Nd3Tl4
Calculated powder XRD pattern, Cu Kα X-rays. Input: DFT lattice parameters and positions (GGA-PBE).
Peak positions follow from Bragg's law for the DFT cell and can differ from measured ones.

Largest 8 diffraction maxima, by angle, 5° ≤ 2θ ≤ 70°:
2θ/deg  I_rel
26.6  33
29.5  78
29.8  84
30.4  65
31.9  100
36.6  42
42.9  34
54.7  34

Atomic structure:
abc: 11.503 11.503 11.503
angles: 160.67 128.36 55.65
Sites, in units of the cell vectors:
Ac1 0.016 0.837 0.179
Ac2 0.343 0.163 0.179
Ac3 0.657 0.837 0.821
Ac4 0.984 0.163 0.821
Nd1 0.000 0.500 0.500
Nd2 0.408 0.408 0.000
Nd3 0.592 0.592 0.000
Tl1 0.279 0.000 0.279
Tl2 0.279 0.779 0.500
Tl3 0.721 0.000 0.721
Tl4 0.721 0.221 0.500

=====

No. 7
# La4Dy8Er
Calculated powder XRD pattern, Cu Kα X-rays. Input: DFT lattice parameters and positions (GGA-PBE).
Peak positions follow from Bragg's law for the DFT cell and can differ from measured ones.

Largest 8 diffraction maxima, by angle, 5° ≤ 2θ ≤ 70°:
2θ/deg  I_rel
19.7  18
22.8  19
25.5  12
32.4  100
32.5  99
46.5  36
57.8  55
58.0  18

Atomic structure:
abc: 7.811 7.811 7.811
angles: 90.17 90.17 90.17
Sites, in units of the cell vectors:
La1 0.000 0.000 0.000
La2 0.000 0.500 0.500
La3 0.500 0.000 0.500
La4 0.500 0.500 0.000
Dy1 0.239 0.239 0.239
Dy2 0.239 0.239 0.759
Dy3 0.239 0.759 0.239
Dy4 0.241 0.761 0.761
Dy5 0.759 0.239 0.239
Dy6 0.761 0.241 0.761
Dy7 0.761 0.761 0.241
Dy8 0.761 0.761 0.761
Er1 0.500 0.500 0.500

=====

No. 8
# PmTlRu
Calculated powder XRD pattern, Cu Kα X-rays. Input: DFT lattice parameters and positions (GGA-PBE).
Peak positions follow from Bragg's law for the DFT cell and can differ from measured ones.

Largest 8 diffraction maxima, by angle, 5° ≤ 2θ ≤ 70°:
2θ/deg  I_rel
22.9  16
26.5  37
37.8  100
44.7  8
46.8  11
54.5  17
61.6  15
68.3  35

Atomic structure:
abc: 4.759 4.759 4.759
angles: 60.00 60.00 60.00
Sites, in units of the cell vectors:
Pm1 0.000 0.000 0.000
Tl1 0.500 0.500 0.500
Ru1 0.250 0.250 0.250

=====

No. 9
# TbGdFeAu
Calculated powder XRD pattern, Cu Kα X-rays. Input: DFT lattice parameters and positions (GGA-PBE).
Peak positions follow from Bragg's law for the DFT cell and can differ from measured ones.

Largest 8 diffraction maxima, by angle, 5° ≤ 2θ ≤ 70°:
2θ/deg  I_rel
21.8  13
25.2  1
36.0  100
42.4  8
51.8  18
56.8  3
64.7  36
69.1  3

Atomic structure:
abc: 4.994 4.994 4.994
angles: 60.00 60.00 60.00
Sites, in units of the cell vectors:
Tb1 0.000 0.000 0.000
Gd1 0.500 0.500 0.500
Fe1 0.750 0.750 0.750
Au1 0.250 0.250 0.250

=====

No. 10
# CsZn2Pd
Calculated powder XRD pattern, Cu Kα X-rays. Input: DFT lattice parameters and positions (GGA-PBE).
Peak positions follow from Bragg's law for the DFT cell and can differ from measured ones.

Largest 8 diffraction maxima, by angle, 5° ≤ 2θ ≤ 70°:
2θ/deg  I_rel
22.6  20
24.1  100
30.3  28
32.4  17
38.1  33
40.6  25
49.4  37
50.2  27

Atomic structure:
abc: 8.923 8.923 8.923
angles: 141.35 141.35 55.80
Sites, in units of the cell vectors:
Cs1 0.375 0.625 0.750
Cs2 0.625 0.375 0.250
Zn1 0.000 0.000 0.000
Zn2 0.000 0.000 0.500
Zn3 0.000 0.500 0.000
Zn4 0.500 0.000 0.500
Pd1 0.125 0.875 0.250
Pd2 0.875 0.125 0.750

=====

No. 11
# Er3SbRu
Calculated powder XRD pattern, Cu Kα X-rays. Input: DFT lattice parameters and positions (GGA-PBE).
Peak positions follow from Bragg's law for the DFT cell and can differ from measured ones.

Largest 8 diffraction maxima, by angle, 5° ≤ 2θ ≤ 70°:
2θ/deg  I_rel
25.0  63
32.0  37
32.5  84
34.2  93
34.5  68
35.6  100
36.3  56
39.8  72

Atomic structure:
abc: 8.477 8.477 7.504
angles: 90.00 90.00 78.29
Sites, in units of the cell vectors:
Er1 0.034 0.691 0.407
Er2 0.068 0.932 0.798
Er3 0.191 0.534 0.907
Er4 0.309 0.966 0.407
Er5 0.432 0.568 0.298
Er6 0.466 0.809 0.907
Er7 0.534 0.191 0.093
Er8 0.568 0.432 0.702
Er9 0.691 0.034 0.593
Er10 0.809 0.466 0.093
Er11 0.932 0.068 0.202
Er12 0.966 0.309 0.593
Sb1 0.169 0.331 0.250
Sb2 0.331 0.169 0.750
Sb3 0.669 0.831 0.250
Sb4 0.831 0.669 0.750
Ru1 0.199 0.801 0.124
Ru2 0.301 0.699 0.624
Ru3 0.699 0.301 0.376
Ru4 0.801 0.199 0.876